The following is a calculated powder X-ray diffraction pattern of TbSi3Ni8. It was derived from the PBE geometry in Alexandria, using Cu Kα.
Peak positions follow from Bragg's law for the DFT cell and can differ from measured ones.

The 10 most intense peaks (10° ≤ 2θ ≤ 80°), in order of falling intensity:
41.6°, intensity 100; 41.5°, intensity 93; 41.8°, intensity 90; 41.3°, intensity 76; 30.9°, intensity 76; 40.6°, intensity 62; 36.5°, intensity 52; 40.9°, intensity 50; 43.8°, intensity 44; 37.1°, intensity 33

Structural model:
abc: 7.5290 7.5290 7.4915
angles: 99.68 99.68 130.36
Sites, in units of the cell vectors:
Tb  0.1319  0.8681  0.7500
Tb  0.8681  0.1319  0.2500
Si  0.0000  0.5000  0.0000
Si  0.2229  0.3153  0.6754
Si  0.3153  0.2229  0.1754
Si  0.5000  0.0000  0.5000
Si  0.6847  0.7771  0.8246
Si  0.7771  0.6847  0.3246
Ni  0.0608  0.2092  0.9316
Ni  0.0679  0.6494  0.3290
Ni  0.2092  0.0608  0.4316
Ni  0.3016  0.6381  0.5787
Ni  0.3506  0.9321  0.1710
Ni  0.3619  0.6984  0.9213
Ni  0.3775  0.6225  0.2500
Ni  0.5000  0.5000  0.0000
Ni  0.5000  0.5000  0.5000
Ni  0.6225  0.3775  0.7500
Ni  0.6381  0.3016  0.0787
Ni  0.6494  0.0679  0.8290
Ni  0.6984  0.3619  0.4213
Ni  0.7908  0.9392  0.5684
Ni  0.9321  0.3506  0.6710
Ni  0.9392  0.7908  0.0684